# 1
Structure and computed powder X-ray diffraction pattern of Nd3TeH3 (a structure optimized by DFT (GGA-PBE); CuKα).
Kinematic intensities with the Lorentz-polarization factor, no thermal factor.

Largest 10 diffraction maxima, most intense first, 2θ = 10–90°:
- 2θ = 30.82°, rel. 100
- 2θ = 33.85°, rel. 70
- 2θ = 52.81°, rel. 39
- 2θ = 27.50°, rel. 30
- 2θ = 50.75°, rel. 25
- 2θ = 66.00°, rel. 23
- 2θ = 79.59°, rel. 20
- 2θ = 56.77°, rel. 17
- 2θ = 48.62°, rel. 11
- 2θ = 81.23°, rel. 11

Crystal structure
a b c (Å): 6.4865 6.4865 6.4865
angles (deg): 90.00 90.00 90.00
Space group Pm-3n (No. 223)
Unique sites:
Nd1 0.0000 0.2500 0.5000 x6
Te1 0.0000 0.0000 0.0000 x2
H1 0.0000 0.5000 0.2500 x6

---

# 2
Structure and computed powder X-ray diffraction pattern of Dy8PSe3S3 (a structure optimized by DFT (GGA-PBE); CuKα).
Kinematic intensities with the Lorentz-polarization factor, no thermal factor.

Largest 10 diffraction maxima, most intense first, 2θ = 10–90°:
- 2θ = 31.82°, rel. 100
- 2θ = 27.56°, rel. 44
- 2θ = 45.87°, rel. 37
- 2θ = 45.36°, rel. 35
- 2θ = 56.91°, rel. 19
- 2θ = 75.98°, rel. 16
- 2θ = 27.16°, rel. 14
- 2θ = 75.22°, rel. 14
- 2θ = 54.13°, rel. 13
- 2θ = 84.54°, rel. 12

Crystal structure
a b c (Å): 7.9130 7.9130 19.6965
angles (deg): 90.00 90.00 120.00
Space group R-3m (No. 166, hexagonal axes)
Unique sites:
Dy1 0.0000 0.0000 0.2420 x6
Dy2 0.0020 0.5010 0.2437 x18
P1 0.0000 0.0000 0.5000 x3
Se1 0.0000 0.5000 0.0000 x9
S1 0.0000 0.5000 0.5000 x9

---

# 3
Structure and computed powder X-ray diffraction pattern of RbCu2AuBr8 (a structure optimized by DFT (GGA-PBE); CuKα).
Kinematic intensities with the Lorentz-polarization factor, no thermal factor.

Largest 10 diffraction maxima, most intense first, 2θ = 10–90°:
- 2θ = 32.33°, rel. 100
- 2θ = 17.68°, rel. 91
- 2θ = 27.78°, rel. 75
- 2θ = 46.67°, rel. 66
- 2θ = 46.07°, rel. 63
- 2θ = 24.07°, rel. 41
- 2θ = 26.11°, rel. 33
- 2θ = 14.99°, rel. 31
- 2θ = 28.25°, rel. 26
- 2θ = 44.85°, rel. 24

Crystal structure
a b c (Å): 6.8254 6.8254 9.4773
angles (deg): 90.00 90.00 120.00
Space group P-3 (No. 147)
Unique sites:
Rb1 0.0000 0.0000 0.0000 x1
Cu1 0.3333 0.6667 0.7339 x2
Au1 0.0000 0.0000 0.5000 x1
Br1 0.0093 0.3127 0.6679 x6
Br2 0.3333 0.6667 0.9810 x2

---

# 4
Structure and computed powder X-ray diffraction pattern of Pr2SmHo5Tm (a structure optimized by DFT (GGA-PBE); CuKα).
Kinematic intensities with the Lorentz-polarization factor, no thermal factor.

Largest 10 diffraction maxima, most intense first, 2θ = 10–90°:
- 2θ = 30.79°, rel. 100
- 2θ = 29.14°, rel. 53
- 2θ = 28.69°, rel. 43
- 2θ = 52.71°, rel. 25
- 2θ = 60.44°, rel. 15
- 2θ = 37.87°, rel. 14
- 2θ = 55.74°, rel. 13
- 2θ = 46.41°, rel. 11
- 2θ = 34.68°, rel. 11
- 2θ = 32.68°, rel. 11

Crystal structure
a b c (Å): 8.6665 8.6665 15.6521
angles (deg): 90.00 90.00 90.00
Space group I4/mcm (No. 140)
Unique sites:
Pr1 0.1180 0.3820 0.0000 x8
Sm1 0.0000 0.0000 0.2500 x4
Ho1 0.0000 0.0000 0.0000 x4
Ho2 0.2126 0.2874 0.3597 x16
Tm1 0.0000 0.5000 0.2500 x4

---

# 5
Structure and computed powder X-ray diffraction pattern of SrAl3Cd (a structure optimized by DFT (GGA-PBE); CuKα).
Kinematic intensities with the Lorentz-polarization factor, no thermal factor.

Largest 10 diffraction maxima, most intense first, 2θ = 10–90°:
- 2θ = 29.44°, rel. 100
- 2θ = 32.86°, rel. 94
- 2θ = 29.57°, rel. 93
- 2θ = 14.55°, rel. 83
- 2θ = 41.14°, rel. 55
- 2θ = 40.53°, rel. 50
- 2θ = 27.32°, rel. 46
- 2θ = 38.74°, rel. 39
- 2θ = 45.92°, rel. 38
- 2θ = 36.13°, rel. 36

Crystal structure
a b c (Å): 24.6991 4.3891 4.4522
angles (deg): 90.00 99.70 90.00
Space group C2/m (No. 12)
Unique sites:
Sr1 0.0869 0.0000 0.3305 x4
Al1 0.0260 0.5000 0.7742 x4
Al2 0.2122 0.0000 0.9880 x4
Al3 0.2144 0.5000 0.4449 x4
Cd1 0.1389 0.5000 0.8738 x4